[1]
Starting from a crystal structure in Alexandria, relaxed with GGA-PBE, the powder diffractogram of PmGeBRh2 was calculated for Cu Kα X-rays.
Intensities are scaled so that the largest is 100.

Main lines, most intense first (2θ = 10–90°):
two_theta	d (Å)	I_rel	index
35.0	2.563	100.0	1 1 1
44.3	2.044	36.8	2 0 0
27.1	3.289	27.8	1 0 1
39.3	2.292	26.3	1 0 2
75.5	1.259	21.0	3 1 1
16.0	5.535	19.4	0 0 1
32.4	2.767	19.1	0 0 2
55.9	1.644	15.7	2 0 2
59.4	1.555	15.4	1 1 3
60.7	1.526	14.4	2 1 2

Crystal structure
abc: 4.089 4.089 5.535
angles: 90.00 90.00 90.00
Space group P4mm (No. 99)
One atom of each set of equivalent atoms:
Pm 0.000 0.000 0.000
Ge 0.500 0.500 0.207
B 0.000 0.000 0.526
Rh 0.000 0.500 0.470


[2]
Starting from a crystal structure in Alexandria, relaxed with GGA-PBE, the powder diffractogram of LaY2Ho2Tm2 was calculated for Cu Kα X-rays.
Intensities are scaled so that the largest is 100.

Main lines, most intense first (2θ = 10–90°):
two_theta	d (Å)	I_rel	index
32.6	2.751	100.0	1 1 2
31.0	2.889	87.0	2 0 -4
35.5	2.530	84.5	3 1 -2
30.8	2.901	73.1	4 0 -1
33.1	2.706	63.4	2 0 3
28.6	3.118	57.8	1 1 1
51.8	1.764	38.5	5 1 1
62.1	1.495	24.3	7 1 -3
61.9	1.498	23.9	2 2 -4
63.2	1.471	23.6	2 2 3

Crystal structure
abc: 11.638 3.505 11.776
angles: 90.00 108.71 90.00
Space group C2/m (No. 12)
One atom of each set of equivalent atoms:
La 0.000 0.000 0.000
Y 0.052 0.500 0.275
Ho 0.171 0.500 0.582
Tm 0.223 0.000 0.857


Number 2 is which compound?
LaY2Ho2Tm2